# PmSm4Sc2
Simulated PXRD pattern, Cu Kα (λ = 1.5418 Å). Input: a structure optimized by DFT (PBE).

Crystal structure
Cell lengths 3.622, 8.419, 14.664 Å; angles 97.99, 97.08, 90.01 degrees
Space group P-1 (No. 2)
One atom of each set of equivalent atoms:
Pm: 0.142 0.332 0.282 x2
Sm: 0.008 0.202 0.016 x2
Sm: 0.275 0.358 0.550 x2
Sm: 0.299 0.946 0.598 x2
Sm: 0.441 0.456 0.881 x2
Sc: 0.139 0.760 0.277 x2
Sc: 0.416 0.006 0.832 x2

Largest 10 diffraction maxima, sorted by position, 2θ from 10° to 80°:
| Position (°2θ) | I_rel | index |
| --- | --- | --- |
| 26.84 | 13 | 1 -1 0 |
| 27.93 | 17 | 1 1 -2 |
| 30.30 | 43 | 0 2 3 |
| 30.44 | 46 | 0 2 -4 |
| 31.39 | 14 | 0 1 -5 |
| 32.62 | 90 | 1 2 -1 |
| 32.93 | 100 | 1 0 3 |
| 50.39 | 16 | 2 0 -1 |
| 59.91 | 18 | -2 2 4 |
| 60.03 | 15 | 2 2 -5 |

---

# Hg6BiPb5
Simulated PXRD pattern, Cu Kα (λ = 1.5418 Å). Input: a structure optimized by DFT (PBE).

Crystal structure
Cell lengths 11.916, 11.327, 5.756 Å; angles 90.00, 116.53, 90.00 degrees
Space group C2/m (No. 12)
One atom of each set of equivalent atoms:
Hg: 0.250 0.000 0.244 x4
Hg: 0.250 0.167 0.747 x8
Bi: 0.000 0.500 0.000 x2
Pb: 0.000 0.000 0.500 x2
Pb: 0.000 0.165 0.000 x4
Pb: 0.000 0.335 0.500 x4

Largest 10 diffraction maxima, sorted by position, 2θ from 10° to 80°:
| Position (°2θ) | I_rel | index |
| --- | --- | --- |
| 31.10 | 57 | 2 0 -2 |
| 32.65 | 100 | 1 3 1 |
| 33.31 | 95 | 3 3 -1 |
| 33.63 | 46 | 4 0 0 |
| 45.45 | 20 | 2 0 2 |
| 55.89 | 22 | 1 3 -3 |
| 57.19 | 21 | 5 3 -3 |
| 58.49 | 20 | 2 6 -2 |
| 59.09 | 19 | 5 3 1 |
| 60.06 | 18 | 4 6 0 |

---

# Ti2ZnCr
Simulated PXRD pattern, Cu Kα (λ = 1.5418 Å). Input: a structure optimized by DFT (PBE).

Crystal structure
Cell lengths 3.102, 3.102, 6.171 Å; angles 90.00, 90.00, 90.00 degrees
Space group P4/mmm (No. 123)
One atom of each set of equivalent atoms:
Ti: 0.000 0.000 0.227 x2
Zn: 0.500 0.500 0.500 x1
Cr: 0.500 0.500 0.000 x1

Largest 10 diffraction maxima, sorted by position, 2θ from 10° to 80°:
| Position (°2θ) | I_rel | index |
| --- | --- | --- |
| 28.78 | 3 | 1 0 0 |
| 28.94 | 2 | 0 0 2 |
| 32.30 | 4 | 1 0 1 |
| 41.16 | 52 | 1 1 0 |
| 41.27 | 100 | 1 0 2 |
| 59.62 | 16 | 2 0 0 |
| 59.96 | 7 | 0 0 4 |
| 61.84 | 2 | 1 1 3 |
| 75.09 | 29 | 2 1 2 |
| 75.32 | 13 | 1 1 4 |